[1]
Diffraction record for PrLuGa. The XRD peak list is theoretical, not measured: it uses a crystal structure in Alexandria, relaxed with PBE and Cu Kα, 1.54184 Å.

Principal peaks in the range 2θ from 10° to 80°, low angle first:
- 26.17°, d 3.405, I = 20, (1 0 1)
- 27.25°, d 3.272, I = 13, (0 0 4)
- 32.65°, d 2.743, I = 100, (1 0 3)
- 36.02°, d 2.494, I = 45, (1 1 0)
- 45.75°, d 1.983, I = 13, (1 1 4)
- 51.85°, d 1.763, I = 16, (2 0 0)
- 55.63°, d 1.652, I = 11, (1 0 7)
- 56.01°, d 1.642, I = 13, (1 1 6)
- 62.63°, d 1.483, I = 31, (2 1 3)
- 79.50°, d 1.206, I = 8, (2 1 7)

Cell lengths 3.527, 3.527, 13.089 Å; angles 90.00, 90.00, 90.00 degrees
Space group I4mm (No. 107)
Unique sites:
Pr 0.000 0.000 0.000 [2 per cell]
Lu 0.000 0.000 0.289 [2 per cell]
Ga 0.000 0.000 0.658 [2 per cell]

[2]
Diffraction record for SmTmLuGa. The XRD peak list is theoretical, not measured: it uses a crystal structure in Alexandria, relaxed with PBE and Cu Kα, 1.54184 Å.

Principal peaks in the range 2θ from 10° to 80°, low angle first:
- 20.54°, d 4.323, I = 7, (1 1 1)
- 23.77°, d 3.744, I = 2, (2 0 0)
- 33.86°, d 2.647, I = 100, (2 2 0)
- 39.93°, d 2.258, I = 4, (3 1 1)
- 48.64°, d 1.872, I = 18, (4 0 0)
- 53.33°, d 1.718, I = 2, (3 3 1)
- 60.58°, d 1.528, I = 38, (4 2 2)
- 64.68°, d 1.441, I = 1, (5 1 1)
- 71.24°, d 1.324, I = 12, (4 4 0)
- 75.05°, d 1.266, I = 1, (5 3 1)

Cell lengths 7.488, 7.488, 7.488 Å; angles 90.00, 90.00, 90.00 degrees
Space group F-43m (No. 216)
Unique sites:
Sm 0.000 0.000 0.000 [4 per cell]
Tm 0.000 0.000 0.500 [4 per cell]
Lu 0.250 0.250 0.250 [4 per cell]
Ga 0.250 0.250 0.750 [4 per cell]

[3]
Diffraction record for LuTh2Ga. The XRD peak list is theoretical, not measured: it uses a crystal structure in Alexandria, relaxed with PBE and Cu Kα, 1.54184 Å.

Principal peaks in the range 2θ from 10° to 80°, low angle first:
- 18.31°, d 4.845, I = 8, (0 0 1)
- 26.59°, d 3.352, I = 7, (1 1 0)
- 32.48°, d 2.757, I = 100, (1 1 1)
- 37.11°, d 2.422, I = 18, (0 0 2)
- 37.96°, d 2.370, I = 33, (2 0 0)
- 54.13°, d 1.694, I = 24, (2 0 2)
- 54.76°, d 1.676, I = 12, (2 2 0)
- 63.99°, d 1.455, I = 15, (1 1 3)
- 65.13°, d 1.432, I = 28, (3 1 1)
- 68.01°, d 1.378, I = 12, (2 2 2)

Cell lengths 4.741, 4.741, 4.845 Å; angles 90.00, 90.00, 90.00 degrees
Space group P4/mmm (No. 123)
Unique sites:
Lu 0.000 0.000 0.000 [1 per cell]
Th 0.000 0.500 0.500 [2 per cell]
Ga 0.500 0.500 0.000 [1 per cell]

[4]
Diffraction record for LuUGa2. The XRD peak list is theoretical, not measured: it uses a crystal structure in Alexandria, relaxed with PBE and Cu Kα, 1.54184 Å.

Principal peaks in the range 2θ from 10° to 80°, low angle first:
- 21.47°, d 4.139, I = 19, (0 0 2)
- 27.96°, d 3.191, I = 20, (1 0 0)
- 35.52°, d 2.527, I = 100, (1 0 2)
- 39.95°, d 2.256, I = 36, (1 1 0)
- 43.74°, d 2.070, I = 14, (0 0 4)
- 57.78°, d 1.596, I = 12, (2 0 0)
- 60.72°, d 1.525, I = 21, (1 1 4)
- 69.69°, d 1.349, I = 29, (2 1 2)
- 74.99°, d 1.267, I = 12, (1 0 6)
- 75.19°, d 1.264, I = 12, (2 0 4)

Cell lengths 3.191, 3.191, 8.279 Å; angles 90.00, 90.00, 90.00 degrees
Space group P4/mmm (No. 123)
Unique sites:
Lu 0.000 0.000 0.000 [1 per cell]
U 0.000 0.000 0.500 [1 per cell]
Ga 0.500 0.500 0.244 [2 per cell]